Entry 1:
Structure and theoretical powder diffractogram of AuN2 (a crystal structure in Alexandria, relaxed with PBE; λ = 1.5418 Å (Cu Kα)).

a = 5.0319 Å, b = 6.2080 Å, c = 2.9411 Å
α = 90.00°, β = 90.00°, γ = 90.00°
Space group Pnnm (No. 58)
One atom of each set of equivalent atoms:
Au  0.0000  0.0000  0.0000 [2 per cell]
N  0.0835  0.4347  0.5000 [4 per cell]

The 8 most intense peaks (15 to 90 degrees two-theta), in order of falling intensity:
hkl, 2θ/deg, I (rel.)
1 1 0, 22.75, 100
0 1 1, 33.72, 63
0 2 0, 28.76, 45
2 1 1, 49.91, 37
1 2 1, 46.19, 36
1 0 1, 35.35, 34
2 0 0, 35.69, 24
2 2 0, 46.46, 22

Entry 2:
Structure and theoretical powder diffractogram of Na3AuN2 (a crystal structure in Alexandria, relaxed with PBE; λ = 1.5418 Å (Cu Kα)).

a = 8.3547 Å, b = 8.3547 Å, c = 12.9306 Å
α = 90.00°, β = 90.00°, γ = 90.00°
Space group I4_1/amd (No. 141, origin choice 2)
One atom of each set of equivalent atoms:
Na  0.0000  0.2500  0.2573 [8 per cell]
Na  0.2196  0.0304  0.8750 [16 per cell]
Au  0.0000  0.2500  0.0284 [8 per cell]
N  0.0000  0.0189  0.7195 [16 per cell]

The 8 most intense peaks (15 to 90 degrees two-theta), in order of falling intensity:
hkl, 2θ/deg, I (rel.)
2 0 0, 21.27, 100
2 0 4, 35.10, 90
1 0 3, 23.22, 85
2 2 0, 30.26, 77
2 1 3, 31.69, 76
4 0 0, 43.32, 41
4 2 4, 56.93, 40
2 1 1, 24.80, 38

Entry 3:
Structure and theoretical powder diffractogram of NaAuS2N (a crystal structure in Alexandria, relaxed with PBE; λ = 1.5418 Å (Cu Kα)).

a = 5.1937 Å, b = 5.1937 Å, c = 3.7980 Å
α = 90.00°, β = 90.00°, γ = 90.00°
Space group P4/mmm (No. 123)
One atom of each set of equivalent atoms:
Na  0.0000  0.0000  0.0000 [1 per cell]
Au  0.5000  0.5000  0.5000 [1 per cell]
S  0.0000  0.5000  0.5000 [2 per cell]
N  0.5000  0.5000  0.0000 [1 per cell]

The 8 most intense peaks (15 to 90 degrees two-theta), in order of falling intensity:
hkl, 2θ/deg, I (rel.)
1 0 0, 17.07, 100
1 0 1, 29.13, 70
2 0 0, 34.54, 47
2 1 1, 45.79, 42
0 0 1, 23.42, 36
1 1 0, 24.23, 35
2 0 1, 42.15, 30
2 1 0, 38.77, 27

Entry 4:
Structure and theoretical powder diffractogram of Nb6Au3N (a crystal structure in Alexandria, relaxed with PBE; λ = 1.5418 Å (Cu Kα)).

a = 9.6870 Å, b = 5.8566 Å, c = 6.7813 Å
α = 90.00°, β = 109.53°, γ = 90.00°
Space group C2/m (No. 12)
One atom of each set of equivalent atoms:
Nb  0.1095  0.2412  0.3667 [8 per cell]
Nb  0.1761  0.0000  0.7977 [4 per cell]
Au  0.0000  0.5000  0.0000 [2 per cell]
Au  0.1800  0.5000  0.7583 [4 per cell]
N  0.0000  0.0000  0.5000 [2 per cell]

The 8 most intense peaks (15 to 90 degrees two-theta), in order of falling intensity:
hkl, 2θ/deg, I (rel.)
2 2 1, 41.58, 100
4 0 -1, 37.14, 94
2 2 -1, 36.64, 80
2 0 2, 39.46, 80
2 2 -2, 42.06, 77
1 1 1, 24.72, 77
2 0 -3, 40.29, 64
1 1 0, 17.99, 57

Entry 5:
Structure and theoretical powder diffractogram of Nb3Au3N (a crystal structure in Alexandria, relaxed with PBE; λ = 1.5418 Å (Cu Kα)).

a = 12.2584 Å, b = 12.2584 Å, c = 12.2584 Å
α = 90.00°, β = 90.00°, γ = 90.00°
Space group Fd-3m (No. 227, origin choice 2)
One atom of each set of equivalent atoms:
Nb  0.0470  0.3750  0.3750 [48 per cell]
Au  0.0000  0.0000  0.5000 [16 per cell]
Au  0.0357  0.0357  0.7143 [32 per cell]
N  0.0000  0.0000  0.0000 [16 per cell]

The 8 most intense peaks (15 to 90 degrees two-theta), in order of falling intensity:
hkl, 2θ/deg, I (rel.)
5 1 1, 38.15, 100
4 4 0, 41.68, 27
6 6 0, 64.50, 24
4 0 0, 29.14, 21
9 3 3, 77.47, 21
4 2 2, 35.89, 19
5 3 1, 43.69, 16
4 4 2, 44.34, 14

Entry 6:
Structure and theoretical powder diffractogram of Nb3Au2N (a crystal structure in Alexandria, relaxed with PBE; λ = 1.5418 Å (Cu Kα)).

a = 7.1810 Å, b = 7.1810 Å, c = 7.1810 Å
α = 90.00°, β = 90.00°, γ = 90.00°
Space group P4_132 (No. 213)
One atom of each set of equivalent atoms:
Nb  0.0424  0.1250  0.7924 [12 per cell]
Au  0.0640  0.9360  0.4360 [8 per cell]
N  0.1250  0.3750  0.6250 [4 per cell]

The 8 most intense peaks (15 to 90 degrees two-theta), in order of falling intensity:
hkl, 2θ/deg, I (rel.)
2 2 1, 37.58, 100
3 1 0, 39.69, 54
4 3 1, 66.38, 34
5 2 0, 70.64, 29
3 1 1, 41.72, 27
3 2 1, 47.37, 24
1 1 0, 17.47, 18
1 1 1, 21.43, 17

Entry 7:
Structure and theoretical powder diffractogram of Nb6Au2N (a crystal structure in Alexandria, relaxed with PBE; λ = 1.5418 Å (Cu Kα)).

a = 3.2786 Å, b = 12.6152 Å, c = 7.2779 Å
α = 90.00°, β = 90.00°, γ = 90.00°
Space group Amm2 (No. 38)
One atom of each set of equivalent atoms:
Nb  0.0000  0.0000  0.0000 [2 per cell]
Nb  0.0000  0.1165  0.6479 [4 per cell]
Nb  0.5000  0.0000  0.4030 [2 per cell]
Nb  0.5000  0.1798  0.9453 [4 per cell]
Au  0.0000  0.1672  0.2653 [4 per cell]
N  0.5000  0.0000  0.7671 [2 per cell]

The 8 most intense peaks (15 to 90 degrees two-theta), in order of falling intensity:
hkl, 2θ/deg, I (rel.)
1 3 1, 36.90, 100
0 3 3, 43.04, 44
0 5 1, 37.75, 41
1 5 1, 47.15, 34
1 6 4, 74.84, 31
1 2 2, 39.66, 29
2 3 3, 73.23, 18
0 0 2, 24.45, 16

Entry 8:
Structure and theoretical powder diffractogram of Nd4AuN (a crystal structure in Alexandria, relaxed with PBE; λ = 1.5418 Å (Cu Kα)).

a = 5.2053 Å, b = 9.4592 Å, c = 7.0367 Å
α = 90.00°, β = 90.00°, γ = 90.00°
Space group Pmmn (No. 59, origin choice 2)
One atom of each set of equivalent atoms:
Nd  0.2500  0.0469  0.2013 [4 per cell]
Nd  0.2500  0.2500  0.7162 [2 per cell]
Nd  0.2500  0.7500  0.6112 [2 per cell]
Au  0.2500  0.7500  0.0341 [2 per cell]
N  0.2500  0.2500  0.3875 [2 per cell]

The 8 most intense peaks (15 to 90 degrees two-theta), in order of falling intensity:
hkl, 2θ/deg, I (rel.)
1 2 1, 28.48, 100
1 1 2, 32.13, 70
2 0 0, 34.46, 56
1 0 2, 30.67, 46
1 5 2, 58.13, 40
1 3 0, 33.22, 33
0 2 0, 18.76, 27
0 2 3, 43.05, 26